1.
Structure and simulated powder diffractogram of Pr12Sm2Y (a DFT-relaxed cell (GGA-PBE, Alexandria); Cu Kα X-rays).

The 8 most intense peaks (2θ from 5° to 70°), low angle first:
hkl 2 0 2, 27.71°, 3.220 Å, I = 53.4; hkl 2 0 3, 28.79°, 3.101 Å, I = 25.9; hkl 2 0 4, 30.24°, 2.955 Å, I = 33.4; hkl 1 1 7, 30.84°, 2.900 Å, I = 100.0; hkl 0 0 9, 31.19°, 2.868 Å, I = 29.0; hkl 2 1 4, 33.17°, 2.701 Å, I = 26.3; hkl 2 2 0, 38.29°, 2.351 Å, I = 30.3; hkl 3 1 9, 54.08°, 1.696 Å, I = 32.4

Atomic structure:
Cell: 6.6495 6.6495 25.8092 Å, 90.00 90.00 90.00°
Space group P4/nbm (No. 125, origin choice 2)
Asymmetric unit:
Pr: 0.0659 0.5659 0.1136 [8 per cell]
Pr: 0.0821 0.5821 0.5624 [8 per cell]
Pr: 0.2500 0.2500 0.2145 [4 per cell]
Pr: 0.2500 0.2500 0.3371 [4 per cell]
Sm: 0.2500 0.7500 0.2684 [4 per cell]
Y: 0.2500 0.7500 0.0000 [2 per cell]

=====

2.
Structure and simulated powder diffractogram of PrSm2Y8 (a DFT-relaxed cell (GGA-PBE, Alexandria); Cu Kα X-rays).

The 8 most intense peaks (2θ from 5° to 70°), low angle first:
hkl 2 2 0, 28.78°, 3.102 Å, I = 26.7; hkl 0 2 1, 29.88°, 2.990 Å, I = 52.4; hkl 5 1 0, 30.24°, 2.956 Å, I = 51.0; hkl 2 0 2, 30.64°, 2.918 Å, I = 93.0; hkl 5 1 -1, 31.34°, 2.854 Å, I = 55.2; hkl 3 1 -2, 32.17°, 2.783 Å, I = 75.2; hkl 2 2 1, 32.60°, 2.747 Å, I = 100.0; hkl 4 2 0, 34.52°, 2.598 Å, I = 44.7

Atomic structure:
Cell: 16.6794 6.6984 6.7116 Å, 90.00 99.11 90.00°
Space group C2/m (No. 12)
Asymmetric unit:
Pr: 0.0000 0.0000 0.0000 [2 per cell]
Sm: 0.2447 0.0000 0.3085 [4 per cell]
Y: 0.0883 0.5000 0.9031 [4 per cell]
Y: 0.0896 0.2626 0.4063 [8 per cell]
Y: 0.2057 0.0000 0.8008 [4 per cell]

=====

3.
Structure and simulated powder diffractogram of PrSm4Y10 (a DFT-relaxed cell (GGA-PBE, Alexandria); Cu Kα X-rays).

The 8 most intense peaks (2θ from 5° to 70°), low angle first:
hkl 1 0 1, 15.15°, 5.847 Å, I = 45.8; hkl 2 1 1, 20.46°, 4.341 Å, I = 30.4; hkl 3 2 1, 28.33°, 3.151 Å, I = 61.9; hkl 1 1 2, 28.94°, 3.085 Å, I = 68.3; hkl 2 4 0, 30.87°, 2.897 Å, I = 100.0; hkl 4 1 1, 31.58°, 2.833 Å, I = 44.3; hkl 3 1 2, 35.07°, 2.559 Å, I = 75.9; hkl 5 1 0, 35.32°, 2.541 Å, I = 35.1

Atomic structure:
Cell: 12.9559 12.9559 6.5528 Å, 90.00 90.00 90.00°
Space group I4/m (No. 87)
Asymmetric unit:
Pr: 0.0000 0.0000 0.0000 [2 per cell]
Sm: 0.0669 0.1717 0.5000 [8 per cell]
Y: 0.0000 0.5000 0.2500 [4 per cell]
Y: 0.1293 0.7069 0.2494 [16 per cell]